# Cs7Na3
Theoretical powder diffractogram, a wavelength of 1.5418 Å. Input: a PBE-relaxed structure.
Neutral-atom scattering factors, no anomalous dispersion.

Main lines, by intensity (10° ≤ 2θ ≤ 90°):
2θ/deg  intensity  h k l
20.43  100  2 1 1
22.58  73  3 0 1
20.91  55  1 0 2
35.53  53  3 3 0
35.87  48  3 2 2
24.01  42  2 0 2
17.85  36  2 1 0
23.44  32  2 2 0
16.72  28  2 0 1
35.00  25  2 1 3

Cell and atoms:
```
data_Cs7Na3
_symmetry_space_group_name_H-M 'P 63 m c'
_symmetry_Int_Tables_number 186
_symmetry_space_group_name_Hall 'P 6c -2c'
_cell_length_a 15.1808
_cell_length_b 15.1808
_cell_length_c 8.9781
_cell_angle_alpha 90.00
_cell_angle_beta 90.00
_cell_angle_gamma 120.00
loop_
_atom_site_label
_atom_site_type_symbol
_atom_site_fract_x
_atom_site_fract_y
_atom_site_fract_z
Cs1 Cs 0.0777 0.5389 0.0000
Cs2 Cs 0.1251 0.2502 0.2388
Cs3 Cs 0.3333 0.6667 0.4757
Na1 Na 0.1892 0.3783 0.7042
```